TbPr2YEr2: simulated X-ray diffraction stick pattern (Cu Kα), based on DFT lattice parameters and positions (PBE).
Kinematic intensities with the Lorentz-polarization factor, no thermal factor.

Structure:
```
data_TbPr2YEr2
_cell_length_a 5.677
_cell_length_b 9.834
_cell_length_c 7.064
_cell_angle_alpha 90.00
_cell_angle_beta 90.00
_cell_angle_gamma 90.00
_symmetry_space_group_name_H-M 'P m c 21'
_symmetry_Int_Tables_number 26
loop_
_symmetry_equiv_pos_as_xyz
'x,y,z'
'-x,-y,z+1/2'
'-x,y,z'
'x,-y,z+1/2'
loop_
_atom_site_label
_atom_site_type_symbol
_atom_site_fract_x
_atom_site_fract_y
_atom_site_fract_z
_atom_site_occupancy
Tb1 Tb 0.000 0.160 0.000 1
Pr1 Pr 0.000 0.500 0.251 1
Pr2 Pr 0.500 0.324 0.501 1
Y1 Y 0.500 0.000 0.250 1
Er1 Er 0.000 0.167 0.500 1
Er2 Er 0.500 0.336 0.001 1
```

Principal peaks in the range 10 to 90 degrees two-theta, by intensity:
2θ/deg, I/Imax, (hkl)
31.52, 100, 2 0 0
31.18, 83, 1 1 2
55.91, 31, 3 1 2
44.92, 30, 2 2 2
61.87, 29, 2 0 4
40.78, 21, 2 0 2
56.12, 19, 3 3 0
79.84, 14, 3 3 4


Tb2Pr2Y2Er: simulated X-ray diffraction stick pattern (Cu Kα), based on DFT lattice parameters and positions (PBE).
Kinematic intensities with the Lorentz-polarization factor, no thermal factor.

Structure:
```
data_Tb2Pr2Y2Er
_cell_length_a 11.826
_cell_length_b 3.535
_cell_length_c 11.893
_cell_angle_alpha 90.00
_cell_angle_beta 108.77
_cell_angle_gamma 90.00
_symmetry_space_group_name_H-M 'C 1 2/m 1'
_symmetry_Int_Tables_number 12
loop_
_symmetry_equiv_pos_as_xyz
'x,y,z'
'-x,-y,-z'
'-x,y,-z'
'x,-y,z'
'x+1/2,y+1/2,z'
'-x+1/2,-y+1/2,-z'
'-x+1/2,y+1/2,-z'
'x+1/2,-y+1/2,z'
loop_
_atom_site_label
_atom_site_type_symbol
_atom_site_fract_x
_atom_site_fract_y
_atom_site_fract_z
_atom_site_occupancy
Tb1 Tb 0.229 0.000 0.366 1
Pr1 Pr 0.173 0.500 0.087 1
Y1 Y 0.048 0.500 0.769 1
Er1 Er 0.000 0.000 0.500 1
```

Principal peaks in the range 10 to 90 degrees two-theta, by intensity:
2θ/deg, I/Imax, (hkl)
32.25, 100, 1 1 2
30.61, 82, 2 0 -4
35.07, 76, 3 1 -2
30.32, 69, 4 0 -1
32.72, 54, 2 0 3
28.37, 53, 1 1 1
61.12, 41, 7 1 -3
51.09, 38, 5 1 1


Tb2PrY6Er: simulated X-ray diffraction stick pattern (Cu Kα), based on DFT lattice parameters and positions (PBE).
Kinematic intensities with the Lorentz-polarization factor, no thermal factor.

Structure:
```
data_Tb2PrY6Er
_cell_length_a 9.147
_cell_length_b 15.068
_cell_length_c 9.622
_cell_angle_alpha 90.00
_cell_angle_beta 97.64
_cell_angle_gamma 90.00
_symmetry_space_group_name_H-M 'C 1 2/c 1'
_symmetry_Int_Tables_number 15
loop_
_symmetry_equiv_pos_as_xyz
'x,y,z'
'-x,-y,-z'
'-x,y,-z+1/2'
'x,-y,z+1/2'
'x+1/2,y+1/2,z'
'-x+1/2,-y+1/2,-z'
'-x+1/2,y+1/2,-z+1/2'
'x+1/2,-y+1/2,z+1/2'
loop_
_atom_site_label
_atom_site_type_symbol
_atom_site_fract_x
_atom_site_fract_y
_atom_site_fract_z
_atom_site_occupancy
Tb1 Tb 0.250 0.051 0.048 1
Pr1 Pr 0.000 0.025 0.750 1
Y1 Y 0.064 0.186 0.443 1
Y2 Y 0.099 0.392 0.617 1
Y3 Y 0.210 0.224 0.816 1
Er1 Er 0.000 0.410 0.250 1
```

Principal peaks in the range 10 to 90 degrees two-theta, by intensity:
2θ/deg, I/Imax, (hkl)
31.30, 100, 2 2 2
30.52, 46, 0 2 3
30.40, 44, 3 1 -1
33.72, 39, 1 3 -3
31.50, 36, 2 4 -1
28.50, 36, 1 3 2
27.93, 27, 2 2 -2
32.30, 23, 1 5 -1


Tb5Pr2YEr: simulated X-ray diffraction stick pattern (Cu Kα), based on DFT lattice parameters and positions (PBE).
Kinematic intensities with the Lorentz-polarization factor, no thermal factor.

Structure:
```
data_Tb5Pr2YEr
_cell_length_a 8.627
_cell_length_b 8.627
_cell_length_c 16.002
_cell_angle_alpha 90.00
_cell_angle_beta 90.00
_cell_angle_gamma 90.00
_symmetry_space_group_name_H-M 'I 4/m c m'
_symmetry_Int_Tables_number 140
_symmetry_space_group_name_Hall '-I 4 2c'
loop_
_atom_site_label
_atom_site_type_symbol
_atom_site_fract_x
_atom_site_fract_y
_atom_site_fract_z
_atom_site_occupancy
Tb1 Tb 0.000 0.000 0.000 1
Tb2 Tb 0.215 0.285 0.142 1
Pr1 Pr 0.119 0.381 0.500 1
Y1 Y 0.000 0.000 0.250 1
Er1 Er 0.000 0.500 0.250 1
```

Principal peaks in the range 10 to 90 degrees two-theta, by intensity:
2θ/deg, I/Imax, (hkl)
30.47, 100, 2 0 4
29.28, 53, 2 2 0
28.55, 48, 2 1 3
52.67, 25, 4 2 4
34.74, 18, 3 1 2
38.02, 15, 3 2 1
55.56, 15, 3 2 7
54.89, 12, 2 2 8


Tb6Pr2YEr: simulated X-ray diffraction stick pattern (Cu Kα), based on DFT lattice parameters and positions (PBE).
Kinematic intensities with the Lorentz-polarization factor, no thermal factor.

Structure:
```
data_Tb6Pr2YEr
_cell_length_a 9.055
_cell_length_b 15.182
_cell_length_c 9.738
_cell_angle_alpha 90.00
_cell_angle_beta 98.73
_cell_angle_gamma 90.00
_symmetry_space_group_name_H-M 'C 1 2/c 1'
_symmetry_Int_Tables_number 15
loop_
_symmetry_equiv_pos_as_xyz
'x,y,z'
'-x,-y,-z'
'-x,y,-z+1/2'
'x,-y,z+1/2'
'x+1/2,y+1/2,z'
'-x+1/2,-y+1/2,-z'
'-x+1/2,y+1/2,-z+1/2'
'x+1/2,-y+1/2,z+1/2'
loop_
_atom_site_label
_atom_site_type_symbol
_atom_site_fract_x
_atom_site_fract_y
_atom_site_fract_z
_atom_site_occupancy
Tb1 Tb 0.064 0.191 0.443 1
Tb2 Tb 0.104 0.395 0.619 1
Tb3 Tb 0.202 0.223 0.811 1
Pr1 Pr 0.247 0.053 0.042 1
Y1 Y 0.000 0.018 0.750 1
Er1 Er 0.000 0.407 0.250 1
```

Principal peaks in the range 10 to 90 degrees two-theta, by intensity:
2θ/deg, I/Imax, (hkl)
30.57, 100, 3 1 -1
33.30, 100, 1 3 -3
31.58, 94, 2 2 2
31.10, 75, 1 5 0
30.24, 68, 0 2 3
31.39, 54, 2 4 -1
28.47, 48, 1 3 2
52.84, 28, 4 2 -4


TbPr2Y5Er: simulated X-ray diffraction stick pattern (Cu Kα), based on DFT lattice parameters and positions (PBE).
Kinematic intensities with the Lorentz-polarization factor, no thermal factor.

Structure:
```
data_TbPr2Y5Er
_cell_length_a 8.673
_cell_length_b 8.673
_cell_length_c 15.823
_cell_angle_alpha 90.00
_cell_angle_beta 90.00
_cell_angle_gamma 90.00
_symmetry_space_group_name_H-M 'I 4/m c m'
_symmetry_Int_Tables_number 140
_symmetry_space_group_name_Hall '-I 4 2c'
loop_
_atom_site_label
_atom_site_type_symbol
_atom_site_fract_x
_atom_site_fract_y
_atom_site_fract_z
_atom_site_occupancy
Tb1 Tb 0.000 0.000 0.250 1
Pr1 Pr 0.118 0.382 0.000 1
Y1 Y 0.000 0.000 0.000 1
Y2 Y 0.212 0.288 0.360 1
Er1 Er 0.000 0.500 0.250 1
```

Principal peaks in the range 10 to 90 degrees two-theta, by intensity:
2θ/deg, I/Imax, (hkl)
30.59, 100, 2 0 4
29.12, 52, 2 2 0
28.57, 49, 2 1 3
52.56, 25, 4 2 4
43.27, 22, 4 0 2
37.83, 19, 3 2 1
55.26, 19, 2 2 8
40.01, 17, 2 0 6


TbPrYEr: simulated X-ray diffraction stick pattern (Cu Kα), based on DFT lattice parameters and positions (PBE).
Kinematic intensities with the Lorentz-polarization factor, no thermal factor.

Structure:
```
data_TbPrYEr
_cell_length_a 3.448
_cell_length_b 5.676
_cell_length_c 6.763
_cell_angle_alpha 90.00
_cell_angle_beta 90.00
_cell_angle_gamma 90.00
_symmetry_space_group_name_H-M 'P m m 2'
_symmetry_Int_Tables_number 25
loop_
_symmetry_equiv_pos_as_xyz
'x,y,z'
'-x,-y,z'
'-x,y,z'
'x,-y,z'
loop_
_atom_site_label
_atom_site_type_symbol
_atom_site_fract_x
_atom_site_fract_y
_atom_site_fract_z
_atom_site_occupancy
Tb1 Tb 0.000 0.000 0.000 1
Pr1 Pr 0.000 0.500 0.746 1
Y1 Y 0.000 0.500 0.262 1
Er1 Er 0.500 0.000 0.496 1
```

Principal peaks in the range 10 to 90 degrees two-theta, by intensity:
2θ/deg, I/Imax, (hkl)
30.78, 100, 0 1 2
33.16, 60, 1 1 1
31.53, 47, 0 2 0
29.07, 38, 1 0 1
62.66, 26, 2 1 2
43.41, 26, 1 2 1
30.33, 20, 1 1 0
55.67, 19, 0 3 2


PrEr2Tc: simulated X-ray diffraction stick pattern (Cu Kα), based on DFT lattice parameters and positions (PBE).
Kinematic intensities with the Lorentz-polarization factor, no thermal factor.

Structure:
```
data_PrEr2Tc
_cell_length_a 7.526
_cell_length_b 9.115
_cell_length_c 6.361
_cell_angle_alpha 90.00
_cell_angle_beta 90.00
_cell_angle_gamma 90.00
_symmetry_space_group_name_H-M 'P n m a'
_symmetry_Int_Tables_number 62
loop_
_symmetry_equiv_pos_as_xyz
'x,y,z'
'-x,-y,-z'
'-x+1/2,-y,z+1/2'
'x+1/2,y,-z+1/2'
'x+1/2,-y+1/2,-z+1/2'
'-x+1/2,y+1/2,z+1/2'
'-x,y+1/2,-z'
'x,-y+1/2,z'
loop_
_atom_site_label
_atom_site_type_symbol
_atom_site_fract_x
_atom_site_fract_y
_atom_site_fract_z
_atom_site_occupancy
Pr1 Pr 0.042 0.250 0.124 1
Er1 Er 0.175 0.065 0.656 1
Tc1 Tc 0.117 0.750 0.451 1
```

Principal peaks in the range 10 to 90 degrees two-theta, by intensity:
2θ/deg, I/Imax, (hkl)
32.09, 100, 1 1 2
32.66, 92, 0 3 1
34.83, 86, 1 3 1
33.96, 85, 2 2 1
30.51, 75, 1 0 2
30.81, 71, 2 2 0
38.58, 52, 3 0 1
29.26, 49, 2 1 1


PrEr4Tc: simulated X-ray diffraction stick pattern (Cu Kα), based on DFT lattice parameters and positions (PBE).
Kinematic intensities with the Lorentz-polarization factor, no thermal factor.

Structure:
```
data_PrEr4Tc
_cell_length_a 8.779
_cell_length_b 3.745
_cell_length_c 20.455
_cell_angle_alpha 90.00
_cell_angle_beta 90.00
_cell_angle_gamma 90.00
_symmetry_space_group_name_H-M 'P n m a'
_symmetry_Int_Tables_number 62
loop_
_symmetry_equiv_pos_as_xyz
'x,y,z'
'-x,-y,-z'
'-x+1/2,-y,z+1/2'
'x+1/2,y,-z+1/2'
'x+1/2,-y+1/2,-z+1/2'
'-x+1/2,y+1/2,z+1/2'
'-x,y+1/2,-z'
'x,-y+1/2,z'
loop_
_atom_site_label
_atom_site_type_symbol
_atom_site_fract_x
_atom_site_fract_y
_atom_site_fract_z
_atom_site_occupancy
Pr1 Pr 0.227 0.250 0.188 1
Er1 Er 0.008 0.750 0.566 1
Er2 Er 0.043 0.750 0.295 1
Er3 Er 0.133 0.750 0.042 1
Er4 Er 0.149 0.750 0.859 1
Tc1 Tc 0.239 0.750 0.454 1
```

Principal peaks in the range 10 to 90 degrees two-theta, by intensity:
2θ/deg, I/Imax, (hkl)
31.34, 100, 1 1 4
34.09, 48, 2 1 3
30.87, 31, 3 0 1
35.34, 27, 3 0 4
38.51, 23, 2 1 5
32.29, 22, 1 0 7
48.63, 21, 0 2 0
32.41, 20, 0 1 5


Pr2ErTe4: simulated X-ray diffraction stick pattern (Cu Kα), based on DFT lattice parameters and positions (PBE).
Kinematic intensities with the Lorentz-polarization factor, no thermal factor.

Structure:
```
data_Pr2ErTe4
_cell_length_a 8.877
_cell_length_b 8.909
_cell_length_c 12.363
_cell_angle_alpha 90.00
_cell_angle_beta 90.00
_cell_angle_gamma 90.00
_symmetry_space_group_name_H-M 'I m m a'
_symmetry_Int_Tables_number 74
_symmetry_space_group_name_Hall '-I 2b 2'
loop_
_atom_site_label
_atom_site_type_symbol
_atom_site_fract_x
_atom_site_fract_y
_atom_site_fract_z
_atom_site_occupancy
Pr1 Pr 0.000 0.000 0.000 1
Pr2 Pr 0.250 0.250 0.250 1
Er1 Er 0.250 0.250 0.750 1
Te1 Te 0.000 0.010 0.738 1
Te2 Te 0.241 0.250 0.505 1
```

Principal peaks in the range 10 to 90 degrees two-theta, by intensity:
2θ/deg, I/Imax, (hkl)
28.39, 100, 2 2 0
40.95, 72, 2 2 4
28.89, 47, 0 0 4
50.51, 19, 0 4 4
50.64, 19, 4 0 4
40.50, 19, 0 4 0
40.66, 19, 4 0 0
66.76, 17, 4 4 4


PrErTe6: simulated X-ray diffraction stick pattern (Cu Kα), based on DFT lattice parameters and positions (PBE).
Kinematic intensities with the Lorentz-polarization factor, no thermal factor.

Structure:
```
data_PrErTe6
_cell_length_a 4.368
_cell_length_b 4.366
_cell_length_c 27.036
_cell_angle_alpha 90.00
_cell_angle_beta 90.00
_cell_angle_gamma 90.00
_symmetry_space_group_name_H-M 'A m m 2'
_symmetry_Int_Tables_number 38
loop_
_symmetry_equiv_pos_as_xyz
'x,y,z'
'-x,-y,z'
'-x,y,z'
'x,-y,z'
'x,y+1/2,z+1/2'
'-x,-y+1/2,z+1/2'
'-x,y+1/2,z+1/2'
'x,-y+1/2,z+1/2'
loop_
_atom_site_label
_atom_site_type_symbol
_atom_site_fract_x
_atom_site_fract_y
_atom_site_fract_z
_atom_site_occupancy
Pr1 Pr 0.000 0.000 0.000 1
Er1 Er 0.500 0.000 0.344 1
Te1 Te 0.000 0.000 0.252 1
Te2 Te 0.000 0.000 0.596 1
Te3 Te 0.000 0.000 0.877 1
Te4 Te 0.500 0.000 0.096 1
Te5 Te 0.500 0.000 0.462 1
Te6 Te 0.500 0.000 0.752 1
```

Principal peaks in the range 10 to 90 degrees two-theta, by intensity:
2θ/deg, I/Imax, (hkl)
30.60, 100, 1 1 3
41.35, 50, 2 0 0
33.42, 40, 1 1 5
26.37, 37, 0 0 8
37.28, 31, 1 1 7
49.71, 26, 2 0 8
68.77, 19, 3 1 3
29.11, 18, 1 1 1


PrEr8Th2: simulated X-ray diffraction stick pattern (Cu Kα), based on DFT lattice parameters and positions (PBE).
Kinematic intensities with the Lorentz-polarization factor, no thermal factor.

Structure:
```
data_PrEr8Th2
_cell_length_a 5.979
_cell_length_b 8.395
_cell_length_c 8.483
_cell_angle_alpha 104.28
_cell_angle_beta 109.46
_cell_angle_gamma 108.38
_symmetry_space_group_name_H-M 'P -1'
_symmetry_Int_Tables_number 2
loop_
_symmetry_equiv_pos_as_xyz
'x,y,z'
'-x,-y,-z'
loop_
_atom_site_label
_atom_site_type_symbol
_atom_site_fract_x
_atom_site_fract_y
_atom_site_fract_z
_atom_site_occupancy
Pr1 Pr 0.000 0.000 0.000 1
Er1 Er 0.228 0.642 0.733 1
Er2 Er 0.259 0.462 0.089 1
Er3 Er 0.301 0.276 0.462 1
Er4 Er 0.381 0.093 0.796 1
Th1 Th 0.168 0.809 0.364 1
```

Principal peaks in the range 10 to 90 degrees two-theta, by intensity:
2θ/deg, I/Imax, (hkl)
31.27, 100, 0 2 1
32.00, 85, 1 2 -2
32.70, 79, 1 0 -3
31.85, 77, 1 -1 2
32.90, 72, 1 -3 1
29.94, 62, -2 1 1
48.91, 27, 0 3 -4
42.47, 25, 2 1 0